Structure and computed X-ray diffraction stick pattern of Th3Zn2Ga2Cu4 (a DFT-relaxed cell (GGA-PBE, Alexandria); Cu Kα (λ = 1.5418 Å)).

Unit cell a=12.661 b=12.661 c=12.661 alpha=160.95 beta=160.95 gamma=27.07
Positions (direct):
Th  0.000  0.000  0.000
Th  0.201  0.201  0.000
Th  0.799  0.799  0.000
Zn  0.335  0.335  0.000
Zn  0.665  0.665  0.000
Ga  0.448  0.448  0.000
Ga  0.552  0.552  0.000
Cu  0.104  0.604  0.500
Cu  0.396  0.896  0.500
Cu  0.604  0.104  0.500
Cu  0.896  0.396  0.500

Peak list (12 most intense, 10° ≤ 2θ ≤ 80°, by intensity)
| 2θ/deg | d_spacing | Rel. int. |
| --- | --- | --- |
| 27.96 | 3.191 | 100 |
| 43.17 | 2.096 | 64 |
| 33.56 | 2.670 | 56 |
| 30.16 | 2.964 | 51 |
| 39.33 | 2.291 | 50 |
| 37.43 | 2.402 | 49 |
| 52.22 | 1.752 | 37 |
| 59.81 | 1.546 | 29 |
| 62.70 | 1.482 | 21 |
| 60.59 | 1.528 | 19 |
| 77.27 | 1.235 | 19 |
| 57.78 | 1.596 | 18 |

---

Structure and computed X-ray diffraction stick pattern of Pm3HoIr2 (a DFT-relaxed cell (GGA-PBE, Alexandria); Cu Kα (λ = 1.5418 Å)).

Unit cell a=8.509 b=8.509 c=8.509 alpha=132.26 beta=71.79 gamma=129.80
Positions (direct):
Pm  0.016  0.750  0.266
Pm  0.250  0.250  0.000
Pm  0.484  0.750  0.734
Pm  0.516  0.250  0.266
Pm  0.750  0.750  0.000
Pm  0.984  0.250  0.734
Ho  0.000  0.500  0.500
Ho  0.500  0.000  0.500
Ir  0.136  0.217  0.353
Ir  0.364  0.717  0.080
Ir  0.636  0.283  0.920
Ir  0.864  0.783  0.647

Peak list (12 most intense, 10° ≤ 2θ ≤ 80°, by intensity)
| 2θ/deg | d_spacing | Rel. int. |
| --- | --- | --- |
| 22.01 | 4.039 | 100 |
| 36.90 | 2.436 | 84 |
| 36.04 | 2.492 | 83 |
| 34.16 | 2.625 | 53 |
| 64.23 | 1.450 | 34 |
| 43.37 | 2.086 | 32 |
| 53.17 | 1.723 | 25 |
| 38.41 | 2.343 | 23 |
| 28.66 | 3.115 | 21 |
| 50.57 | 1.805 | 20 |
| 41.87 | 2.158 | 19 |
| 47.39 | 1.918 | 18 |

---

Structure and computed X-ray diffraction stick pattern of ZrSc5Al4 (a DFT-relaxed cell (GGA-PBE, Alexandria); Cu Kα (λ = 1.5418 Å)).

Unit cell a=3.242 b=3.242 c=19.236 alpha=90.00 beta=90.00 gamma=90.00
Positions (direct):
Zr  0.000  0.000  0.000
Sc  0.500  0.500  0.114
Sc  0.500  0.500  0.307
Sc  0.500  0.500  0.500
Sc  0.500  0.500  0.693
Sc  0.500  0.500  0.886
Al  0.000  0.000  0.210
Al  0.000  0.000  0.403
Al  0.000  0.000  0.597
Al  0.000  0.000  0.790

Peak list (12 most intense, 10° ≤ 2θ ≤ 80°, by intensity)
| 2θ/deg | d_spacing | Rel. int. |
| --- | --- | --- |
| 36.23 | 2.479 | 100 |
| 39.30 | 2.293 | 42 |
| 69.25 | 1.357 | 27 |
| 63.09 | 1.474 | 15 |
| 56.79 | 1.621 | 13 |
| 47.25 | 1.924 | 9 |
| 33.33 | 2.688 | 9 |
| 27.88 | 3.200 | 9 |
| 76.91 | 1.240 | 8 |
| 30.91 | 2.893 | 7 |
| 29.06 | 3.072 | 6 |
| 13.81 | 6.412 | 5 |